# 1
MgSn2: computed XRD peak list (λ = 1.5418 Å (Cu Kα)), based on the PBE geometry in the Materials Project.
Intensities are scaled so that the largest is 100.

Structure:
```
data_MgSn2
_chemical_formula_sum 'Mg4 Sn8'
_symmetry_space_group_name_H-M 'C m c m'
_symmetry_Int_Tables_number 63
_symmetry_space_group_name_Hall '-C 2c 2'
_cell_length_a 9.816
_cell_length_b 5.753
_cell_length_c 5.480
_cell_angle_alpha 90.00
_cell_angle_beta 90.00
_cell_angle_gamma 90.00
loop_
_atom_site_label
_atom_site_type_symbol
_atom_site_fract_x
_atom_site_fract_y
_atom_site_fract_z
_atom_site_occupancy
Mg1 Mg 0.000 0.168 0.250 1
Sn1 Sn 0.166 0.328 0.750 1
```

Largest 8 diffraction maxima, by angle, 10° ≤ 2θ ≤ 80°:
2θ (°), d_spacing, I (rel.)
18.07, 4.908, 19.8
24.19, 3.679, 34.4
31.45, 2.844, 20.1
32.68, 2.740, 40.4
35.24, 2.547, 46.2
35.56, 2.524, 100.0
60.21, 1.537, 23.1
65.96, 1.416, 22.1



# 2
Sm2Bi: computed XRD peak list (λ = 1.5418 Å (Cu Kα)), based on the PBE geometry in the Materials Project.
Intensities are scaled so that the largest is 100.

Structure:
```
data_Sm2Bi
_chemical_formula_sum 'Sm8 Bi4'
_symmetry_space_group_name_H-M 'I 4/m m m'
_symmetry_Int_Tables_number 139
_symmetry_space_group_name_Hall '-I 4 2'
_cell_length_a 4.578
_cell_length_b 4.578
_cell_length_c 17.935
_cell_angle_alpha 90.00
_cell_angle_beta 90.00
_cell_angle_gamma 90.00
loop_
_atom_site_label
_atom_site_type_symbol
_atom_site_fract_x
_atom_site_fract_y
_atom_site_fract_z
_atom_site_occupancy
Sm1 Sm 0.000 0.000 0.179 1
Sm2 Sm 0.000 0.500 0.000 1
Bi1 Bi 0.000 0.000 0.361 1
```

Largest 8 diffraction maxima, by angle, 10° ≤ 2θ ≤ 80°:
2θ (°), d_spacing, I (rel.)
27.56, 3.237, 26.2
29.33, 3.045, 82.4
29.89, 2.989, 37.2
31.69, 2.823, 31.5
34.16, 2.624, 100.0
39.37, 2.289, 61.9
50.20, 1.817, 35.7
68.06, 1.378, 27.9



# 3
ZnSn2O4: computed XRD peak list (λ = 1.5418 Å (Cu Kα)), based on the PBE geometry in the Materials Project.
Intensities are scaled so that the largest is 100.

Structure:
```
data_ZnSn2O4
_chemical_formula_sum 'Zn4 Sn8 O16'
_symmetry_space_group_name_H-M 'C 1 2/m 1'
_symmetry_Int_Tables_number 12
_symmetry_space_group_name_Hall '-C 2y'
_cell_length_a 11.353
_cell_length_b 6.637
_cell_length_c 6.545
_cell_angle_alpha 90.00
_cell_angle_beta 123.75
_cell_angle_gamma 90.00
loop_
_atom_site_label
_atom_site_type_symbol
_atom_site_fract_x
_atom_site_fract_y
_atom_site_fract_z
_atom_site_occupancy
Zn1 Zn 0.107 0.000 0.339 1
Sn1 Sn 0.000 0.500 0.000 1
Sn2 Sn 0.000 0.500 0.500 1
Sn3 Sn 0.250 0.250 0.000 1
O1 O 0.026 0.241 0.792 1
O2 O 0.239 0.000 0.213 1
O3 O 0.248 0.500 0.224 1
```

Largest 8 diffraction maxima, by angle, 10° ≤ 2θ ≤ 80°:
2θ (°), d_spacing, I (rel.)
16.30, 5.437, 67.8
31.58, 2.833, 41.4
31.76, 2.818, 100.0
32.15, 2.784, 42.3
32.98, 2.716, 68.8
38.65, 2.330, 51.5
54.88, 1.673, 39.3
55.96, 1.643, 42.1



# 4
Sr3Te4O11: computed XRD peak list (λ = 1.5418 Å (Cu Kα)), based on the PBE geometry in the Materials Project.
Intensities are scaled so that the largest is 100.

Structure:
```
data_Sr3Te4O11
_chemical_formula_sum 'Sr6 Te8 O22'
_symmetry_space_group_name_H-M 'P 1'
_symmetry_Int_Tables_number 1
_symmetry_space_group_name_Hall 'P 1'
_cell_length_a 7.686
_cell_length_b 9.405
_cell_length_c 9.747
_cell_angle_alpha 98.36
_cell_angle_beta 110.05
_cell_angle_gamma 101.50
loop_
_atom_site_label
_atom_site_type_symbol
_atom_site_fract_x
_atom_site_fract_y
_atom_site_fract_z
_atom_site_occupancy
Sr1 Sr 0.000 0.000 0.000 1
Sr2 Sr 0.013 0.493 0.503 1
Sr3 Sr 0.396 0.432 0.266 1
Sr4 Sr 0.413 0.920 0.766 1
Sr5 Sr 0.569 0.043 0.207 1
Sr6 Sr 0.843 0.881 0.562 1
Te1 Te 0.167 0.656 0.929 1
Te2 Te 0.205 0.770 0.345 1
Te3 Te 0.209 0.155 0.427 1
Te4 Te 0.248 0.261 0.842 1
Te5 Te 0.629 0.601 0.682 1
Te6 Te 0.690 0.710 0.111 1
Te7 Te 0.726 0.214 0.659 1
Te8 Te 0.784 0.323 0.087 1
O1 O 0.001 0.820 0.193 1
O2 O 0.019 0.327 0.729 1
O3 O 0.102 0.781 0.495 1
O4 O 0.133 0.560 0.278 1
O5 O 0.147 0.054 0.756 1
O6 O 0.192 0.262 0.013 1
O7 O 0.227 0.655 0.759 1
O8 O 0.265 0.863 0.017 1
O9 O 0.277 0.363 0.500 1
O10 O 0.316 0.151 0.279 1
O11 O 0.397 0.596 0.049 1
O12 O 0.413 0.103 0.577 1
O13 O 0.508 0.735 0.584 1
O14 O 0.543 0.175 0.979 1
O15 O 0.658 0.857 0.998 1
O16 O 0.679 0.816 0.285 1
O17 O 0.695 0.522 0.523 1
O18 O 0.712 0.409 0.239 1
O19 O 0.743 0.116 0.483 1
O20 O 0.756 0.062 0.765 1
O21 O 0.874 0.744 0.789 1
O22 O 0.906 0.193 0.191 1
```

Largest 8 diffraction maxima, by angle, 10° ≤ 2θ ≤ 80°:
2θ (°), d_spacing, I (rel.)
27.39, 3.256, 63.6
27.62, 3.230, 92.4
27.94, 3.194, 85.2
28.30, 3.153, 77.5
28.53, 3.129, 100.0
29.23, 3.055, 81.9
40.87, 2.208, 39.0
49.80, 1.831, 54.8